Theoretical X-ray diffraction stick pattern
Compound: GaPH9C3Cl3O
Radiation: Cu Ka
Structure: a cell relaxed with PBE

Peak list (10 most intense, 15° ≤ 2θ ≤ 90°, by intensity)
| 2θ/deg | I/Imax |
| --- | --- |
| 16.33 | 100.0 |
| 22.67 | 34.7 |
| 28.49 | 24.6 |
| 27.03 | 17.5 |
| 22.42 | 17.0 |
| 50.45 | 12.7 |
| 27.86 | 12.1 |
| 44.15 | 9.9 |
| 33.01 | 9.6 |
| 27.31 | 9.3 |

```
GaPH9C3Cl3O
1.0
4.303 -5.431 0.000
4.303 5.431 0.000
-3.291 0.000 12.622
Ga P H C Cl O
2 2 18 6 6 2
Cartesian
2.657 2.730 6.311
4.303 -2.730 0.000
0.420 2.782 8.732
2.066 -2.782 2.421
-0.397 1.820 10.776
1.791 4.191 10.105
4.371 3.413 1.328
-0.003 0.574 9.548
1.642 -0.574 3.237
1.311 1.383 10.454
4.043 2.040 2.428
4.810 1.744 0.841
1.249 -1.820 4.465
2.957 -1.383 4.143
2.398 -2.040 8.739
3.165 -1.744 7.152
6.025 0.724 3.818
7.042 0.356 2.395
2.725 -3.413 7.639
4.379 -0.724 10.129
3.437 -4.191 3.794
5.396 -0.356 8.706
0.321 1.520 10.001
4.744 2.444 1.684
1.967 -1.520 3.690
6.840 1.094 3.181
3.098 -2.444 7.995
5.195 -1.094 9.492
1.558 2.867 4.424
1.019 0.825 0.474
-0.626 -0.825 6.785
4.088 1.076 6.217
-0.088 -2.867 10.734
2.443 -1.076 12.528
1.448 2.305 7.681
3.094 -2.305 1.370
```